1.
# SrZrO3
Computed powder XRD pattern, Cu Ka. Input: a PBE-relaxed structure.
Lines closer than 0.1° are merged.

Principal peaks in the range 2θ from 15° to 90°, in order of rising 2θ:
- d 2.969, rel. 1000
- d 2.099, rel. 343
- d 1.714, rel. 379
- d 1.484, rel. 193
- d 1.328, rel. 150
- d 1.122, rel. 173

Cell and atoms:
a b c (Å): 8.397 8.397 8.397
angles (deg): 90.00 90.00 90.00
Space group P2_13 (No. 198)
Asymmetric unit:
Sr: 0.231 0.231 0.231 (multiplicity 4)
Sr: 0.245 0.755 0.255 (multiplicity 4)
Zr: 0.003 0.997 0.497 (multiplicity 4)
Zr: 0.006 0.494 0.506 (multiplicity 4)
O: 0.009 0.979 0.744 (multiplicity 12)
O: 0.011 0.744 0.488 (multiplicity 12)



2.
# CsRb2AlCl6
Computed powder XRD pattern, Cu Ka. Input: a PBE-relaxed structure.
Lines closer than 0.1° are merged.

Principal peaks in the range 2θ from 15° to 90°, in order of rising 2θ:
- d 3.947, rel. 1000
- d 2.791, rel. 714
- d 2.279, rel. 362
- d 1.973, rel. 429
- d 1.765, rel. 302
- d 1.492, rel. 288

Cell and atoms:
a b c (Å): 11.163 11.163 11.163
angles (deg): 90.00 90.00 90.00
Space group Fm-3m (No. 225)
Asymmetric unit:
Cs: 0.000 0.000 0.000 (multiplicity 4)
Rb: 0.250 0.250 0.250 (multiplicity 8)
Al: 0.000 0.000 0.500 (multiplicity 4)
Cl: 0.000 0.000 0.290 (multiplicity 24)



3.
# BeSiOs2
Computed powder XRD pattern, Cu Ka. Input: a PBE-relaxed structure.
Lines closer than 0.1° are merged.

Principal peaks in the range 2θ from 15° to 90°, in order of rising 2θ:
- d 2.886, rel. 910
- d 2.041, rel. 1000
- d 1.666, rel. 248
- d 1.443, rel. 166
- d 1.291, rel. 321
- d 1.178, rel. 349

Cell and atoms:
a b c (Å): 5.772 5.772 5.772
angles (deg): 90.00 90.00 90.00
Space group Fm-3m (No. 225)
Asymmetric unit:
Be: 0.000 0.000 0.000 (multiplicity 4)
Si: 0.000 0.000 0.500 (multiplicity 4)
Os: 0.250 0.250 0.250 (multiplicity 8)



4.
# KLaEuSbO6
Computed powder XRD pattern, Cu Ka. Input: a PBE-relaxed structure.
Lines closer than 0.1° are merged.

Principal peaks in the range 2θ from 15° to 90°, in order of rising 2θ:
- d 2.998, rel. 520
- d 2.982, rel. 1000
- d 2.123, rel. 153
- d 1.728, rel. 439
- d 1.718, rel. 218
- d 1.491, rel. 169

Cell and atoms:
a b c (Å): 8.388 8.469 8.492
angles (deg): 90.00 90.00 90.00
Space group Pnnn (No. 48, origin choice 2)
Asymmetric unit:
K: 0.250 0.250 0.250 (multiplicity 2)
K: 0.250 0.750 0.750 (multiplicity 2)
La: 0.250 0.250 0.750 (multiplicity 2)
La: 0.250 0.750 0.250 (multiplicity 2)
Eu: 0.000 0.000 0.000 (multiplicity 4)
Sb: 0.000 0.000 0.500 (multiplicity 4)
O: 0.030 0.055 0.734 (multiplicity 8)
O: 0.038 0.734 0.988 (multiplicity 8)
O: 0.233 0.024 0.465 (multiplicity 8)